1.
Structure and theoretical PXRD pattern of Ac4Al3Tl (a cell relaxed with GGA-PBE; a wavelength of 1.5418 Å).
Neutral-atom scattering factors, no anomalous dispersion.

Lattice parameters (Å, degrees): 4.4946 4.8997 12.1854 90.00 90.00 90.00
Sites, in units of the cell vectors:
1 Ac 0.0000 0.0000 0.0000
2 Ac 0.0000 0.5000 0.4861
3 Ac 0.5000 0.0000 0.7075
4 Ac 0.5000 0.5000 0.2104
5 Al 0.0000 0.0000 0.2885
6 Al 0.5000 0.0000 0.4142
7 Al 0.5000 0.5000 0.9245
8 Tl 0.0000 0.5000 0.7790

Peak list (6 most intense, 2θ = 5–70°, sorted by position)
- 24.6 deg, rel. 42
- 27.9 deg, rel. 100
- 28.5 deg, rel. 53
- 29.3 deg, rel. 25
- 35.0 deg, rel. 37
- 36.7 deg, rel. 25

***

2.
Structure and theoretical PXRD pattern of ScHRh3 (a cell relaxed with GGA-PBE; a wavelength of 1.5418 Å).
Neutral-atom scattering factors, no anomalous dispersion.

Lattice parameters (Å, degrees): 5.6361 5.6361 4.5363 91.22 91.22 61.24
Sites, in units of the cell vectors:
1 Sc 0.1564 0.1564 0.2831
2 Sc 0.8436 0.8436 0.7169
3 H 0.4980 0.0021 0.9974
4 H 0.9979 0.5020 0.0026
5 Rh 0.1778 0.6566 0.2482
6 Rh 0.3379 0.3380 0.7464
7 Rh 0.3434 0.8222 0.7518
8 Rh 0.6566 0.1777 0.2483
9 Rh 0.6620 0.6621 0.2536
10 Rh 0.8223 0.3434 0.7517

Peak list (6 most intense, 2θ = 5–70°, sorted by position)
- 36.4 deg, rel. 31
- 39.8 deg, rel. 53
- 41.4 deg, rel. 76
- 41.8 deg, rel. 100
- 42.7 deg, rel. 32
- 66.4 deg, rel. 22